# 1
Computed powder diffractogram of LiMn2B2O6 for Cu Kα (weighted mean of Kα1 and Kα2), from a DFT-relaxed cell (GGA+U, the Materials Project).

Lattice parameters (Å, degrees): 5.3220 5.7929 8.1476 79.13 89.93 89.93
Space group P1 (No. 1)
Symmetry-distinct sites (fractional):
Li 0.0000 0.0000 0.0000 (multiplicity 1)
Li 0.3156 0.1128 0.5139 (multiplicity 1)
Mn 0.3631 0.4038 0.1675 (multiplicity 1)
Mn 0.4824 0.2527 0.8171 (multiplicity 1)
Mn 0.8422 0.8643 0.6939 (multiplicity 1)
Mn 0.9537 0.6997 0.3418 (multiplicity 1)
B 0.3368 0.7330 0.8382 (multiplicity 1)
B 0.4819 0.9041 0.1549 (multiplicity 1)
B 0.8382 0.2045 0.3532 (multiplicity 1)
B 0.9796 0.3740 0.6737 (multiplicity 1)
O 0.0844 0.7517 0.8678 (multiplicity 1)
O 0.2247 0.3665 0.6360 (multiplicity 1)
O 0.3298 0.7146 0.2278 (multiplicity 1)
O 0.3448 0.1075 0.0749 (multiplicity 1)
O 0.4628 0.9013 0.7234 (multiplicity 1)
O 0.4700 0.5489 0.9343 (multiplicity 1)
O 0.5812 0.2337 0.3570 (multiplicity 1)
O 0.7342 0.8936 0.1495 (multiplicity 1)
O 0.8288 0.5699 0.6123 (multiplicity 1)
O 0.8550 0.1765 0.7700 (multiplicity 1)
O 0.9569 0.0099 0.4548 (multiplicity 1)
O 0.9953 0.3737 0.2644 (multiplicity 1)

The 8 most intense peaks (5° ≤ 2θ ≤ 70°), by angle:
2θ/deg, d [Å], Rel. int.
20.0, 4.433, 100
22.2, 4.001, 55
22.9, 3.888, 76
33.7, 2.661, 34
34.2, 2.624, 37
35.1, 2.557, 66
37.7, 2.385, 34
39.9, 2.258, 41

---

# 2
Computed powder diffractogram of LiMn2B8O14 for Cu Kα (weighted mean of Kα1 and Kα2), from a DFT-relaxed cell (GGA+U, the Materials Project).

Lattice parameters (Å, degrees): 7.0878 11.2609 5.1862 90.00 90.64 90.00
Space group C2 (No. 5)
Symmetry-distinct sites (fractional):
Li 0.0000 0.0000 0.0000 (multiplicity 2)
Mn 0.1648 0.4366 0.7270 (multiplicity 4)
B 0.0000 0.2164 0.5000 (multiplicity 2)
B 0.0000 0.2234 0.0000 (multiplicity 2)
B 0.0000 0.6584 0.0000 (multiplicity 2)
B 0.0000 0.6618 0.5000 (multiplicity 2)
B 0.2226 0.8186 0.7485 (multiplicity 4)
B 0.2345 0.0550 0.7423 (multiplicity 4)
O 0.0287 0.1447 0.7540 (multiplicity 4)
O 0.0317 0.7330 0.7524 (multiplicity 4)
O 0.1441 0.9390 0.7363 (multiplicity 4)
O 0.1647 0.5791 0.0252 (multiplicity 4)
O 0.1663 0.2990 0.0224 (multiplicity 4)
O 0.1667 0.5857 0.4807 (multiplicity 4)
O 0.1690 0.2904 0.4762 (multiplicity 4)

The 8 most intense peaks (5° ≤ 2θ ≤ 70°), by angle:
2θ/deg, d [Å], Rel. int.
14.8, 5.998, 100
29.8, 2.999, 88
30.7, 2.911, 65
32.0, 2.801, 62
38.2, 2.355, 51
39.0, 2.312, 68
44.5, 2.036, 81
47.7, 1.907, 62

---

# 3
Computed powder diffractogram of Li5Mn3B4O12 for Cu Kα (weighted mean of Kα1 and Kα2), from a DFT-relaxed cell (GGA+U, the Materials Project).

Lattice parameters (Å, degrees): 5.3089 9.1752 11.0087 90.00 117.25 90.00
Space group Pc (No. 7)
Symmetry-distinct sites (fractional):
Li 0.0000 0.0814 0.0000 (multiplicity 2)
Li 0.0490 0.2313 0.5344 (multiplicity 2)
Li 0.0576 0.2662 0.2235 (multiplicity 2)
Li 0.0878 0.4173 0.7442 (multiplicity 2)
Li 0.6118 0.2555 0.7513 (multiplicity 2)
Mn 0.4807 0.2408 0.9838 (multiplicity 2)
Mn 0.5244 0.4207 0.4969 (multiplicity 2)
Mn 0.5714 0.0695 0.2552 (multiplicity 2)
B 0.0022 0.4290 0.9946 (multiplicity 2)
B 0.0902 0.0733 0.7540 (multiplicity 2)
B 0.5099 0.0898 0.5059 (multiplicity 2)
B 0.5772 0.4154 0.2386 (multiplicity 2)
O 0.1533 0.0625 0.2193 (multiplicity 2)
O 0.2216 0.4222 0.9584 (multiplicity 2)
O 0.2557 0.1960 0.7614 (multiplicity 2)
O 0.3789 0.4188 0.2892 (multiplicity 2)
O 0.3894 0.2191 0.5155 (multiplicity 2)
O 0.4098 0.0380 0.0400 (multiplicity 2)
O 0.6686 0.4548 0.7043 (multiplicity 2)
O 0.6773 0.2834 0.2163 (multiplicity 2)
O 0.7237 0.0826 0.4662 (multiplicity 2)
O 0.8670 0.0898 0.7850 (multiplicity 2)
O 0.8691 0.3000 0.9972 (multiplicity 2)
O 0.9318 0.4366 0.5282 (multiplicity 2)

The 8 most intense peaks (5° ≤ 2θ ≤ 70°), by angle:
2θ/deg, d [Å], Rel. int.
18.8, 4.720, 100
20.6, 4.318, 57
30.6, 2.919, 35
33.8, 2.654, 29
33.8, 2.650, 77
36.7, 2.447, 90
51.2, 1.786, 33
60.5, 1.531, 32

---

# 4
Computed powder diffractogram of Li2MnBPO7 for Cu Kα (weighted mean of Kα1 and Kα2), from a DFT-relaxed cell (GGA+U, the Materials Project).

Lattice parameters (Å, degrees): 5.0963 6.2199 8.6476 90.00 93.13 90.00
Space group P2_1/m (No. 11)
Symmetry-distinct sites (fractional):
Li 0.2331 0.0158 0.2960 (multiplicity 4)
Mn 0.2150 0.7500 0.8352 (multiplicity 2)
B 0.2660 0.7500 0.5595 (multiplicity 2)
P 0.2806 0.2500 0.9296 (multiplicity 2)
O 0.0268 0.7500 0.6348 (multiplicity 2)
O 0.1453 0.2500 0.0851 (multiplicity 2)
O 0.1947 0.0571 0.8263 (multiplicity 4)
O 0.2929 0.7500 0.4084 (multiplicity 2)
O 0.4180 0.7500 0.0340 (multiplicity 2)
O 0.4704 0.7500 0.6782 (multiplicity 2)

The 8 most intense peaks (5° ≤ 2θ ≤ 70°), by angle:
2θ/deg, d [Å], Rel. int.
10.2, 8.635, 100
17.6, 5.047, 46
19.8, 4.493, 30
20.7, 4.283, 28
25.2, 3.528, 19
26.3, 3.384, 38
28.7, 3.110, 51
35.3, 2.544, 14

---

# 5
Computed powder diffractogram of RbLi2Mn2B3O9 for Cu Kα (weighted mean of Kα1 and Kα2), from a DFT-relaxed cell (GGA+U, the Materials Project).

Lattice parameters (Å, degrees): 6.6093 5.2161 12.5736 90.00 90.01 90.00
Space group P2/c (No. 13)
Symmetry-distinct sites (fractional):
Rb 0.0000 0.2100 0.2500 (multiplicity 2)
Li 0.4970 0.1545 0.1346 (multiplicity 4)
Mn 0.2324 0.3268 0.9388 (multiplicity 4)
B 0.1940 0.1893 0.5341 (multiplicity 4)
B 0.5000 0.3530 0.7500 (multiplicity 2)
O 0.0543 0.3147 0.5960 (multiplicity 4)
O 0.2413 0.0663 0.0498 (multiplicity 4)
O 0.2920 0.3145 0.4512 (multiplicity 4)
O 0.4156 0.2025 0.8318 (multiplicity 4)
O 0.5000 0.3894 0.2500 (multiplicity 2)

The 8 most intense peaks (5° ≤ 2θ ≤ 70°), by angle:
2θ/deg, d [Å], Rel. int.
19.5, 4.555, 18
22.8, 3.893, 36
27.3, 3.267, 41
30.5, 2.926, 100
32.9, 2.725, 14
34.4, 2.608, 15
36.0, 2.494, 16
48.8, 1.868, 16

---

# 6
Computed powder diffractogram of Li6Mn2B4SO16 for Cu Kα (weighted mean of Kα1 and Kα2), from a DFT-relaxed cell (GGA+U, the Materials Project).

Lattice parameters (Å, degrees): 13.2642 13.2642 13.2642 90.00 90.00 90.00
Space group Fd-3 (No. 203, origin choice 2)
Symmetry-distinct sites (fractional):
Li 0.0950 0.3750 0.3750 (multiplicity 48)
Mn 0.0000 0.0000 0.5000 (multiplicity 16)
B 0.0334 0.0334 0.7166 (multiplicity 32)
S 0.1250 0.1250 0.1250 (multiplicity 8)
O 0.0238 0.1097 0.7865 (multiplicity 96)
O 0.0598 0.0598 0.0598 (multiplicity 32)

The 8 most intense peaks (5° ≤ 2θ ≤ 70°), by angle:
2θ/deg, d [Å], Rel. int.
11.6, 7.658, 46
22.2, 3.999, 100
23.2, 3.829, 18
26.9, 3.316, 21
35.2, 2.553, 30
38.4, 2.345, 20
40.2, 2.242, 28
60.4, 1.532, 19